Record 1
Starting from a cell relaxed with PBE, the powder XRD pattern of La3SmEr8 was simulated for Cu Ka.
Kinematic intensities with the Lorentz-polarization factor, no thermal factor.

Cell and atoms:
Cell: 8.718 8.718 8.718 Å, 136.84 97.91 97.64°
Fractional positions:
La1 0.000 0.000 0.000
La2 0.252 0.500 0.752
La3 0.748 0.500 0.248
Sm1 0.500 0.000 0.500
Er1 0.077 0.827 0.251
Er2 0.253 0.005 0.751
Er3 0.253 0.502 0.249
Er4 0.424 0.173 0.251
Er5 0.576 0.827 0.749
Er6 0.747 0.498 0.751
Er7 0.747 0.995 0.249
Er8 0.923 0.173 0.749

Most intense lines, 2θ = 10–90°, in order of falling intensity:
two_theta  intensity
31.39  100
31.98  78
31.23  77
35.70  53
65.50  30
34.98  26
51.50  25
55.96  23
45.30  22
15.44  21

Record 2
Starting from a cell relaxed with PBE, the powder XRD pattern of SmY2Hg2 was simulated for Cu Ka.
Kinematic intensities with the Lorentz-polarization factor, no thermal factor.

Cell and atoms:
Cell: 3.761 5.365 13.868 Å, 90.00 97.82 90.00°
Fractional positions:
Sm1 0.147 0.250 0.292
Sm2 0.853 0.750 0.708
Y1 0.048 0.750 0.095
Y2 0.235 0.750 0.471
Y3 0.765 0.250 0.529
Y4 0.952 0.250 0.905
Hg1 0.356 0.250 0.712
Hg2 0.454 0.750 0.907
Hg3 0.546 0.250 0.093
Hg4 0.644 0.750 0.288

Most intense lines, 2θ = 10–90°, in order of falling intensity:
two_theta  intensity
33.36  100
32.59  18
59.68  15
47.36  13
70.05  8
60.09  8
48.41  7
59.58  7
80.62  6
58.62  6